No. 1
Calculated X-ray diffraction stick pattern
Compound: ZnTc2O8
Radiation: copper Kα
Structure: a structure optimized by DFT (PBE)
Lines closer than 0.1° are merged.

Most intense lines, 2θ = 15–90°, low angle first:
- 23.5 deg, I = 100.0
- 31.6 deg, I = 36.3
- 35.2 deg, I = 16.3
- 39.8 deg, I = 8.4
- 48.0 deg, I = 13.9
- 51.7 deg, I = 21.4
- 56.5 deg, I = 10.9
- 58.7 deg, I = 7.6
- 66.1 deg, I = 7.3
- 71.2 deg, I = 8.1

Structural model:
Lattice parameters (Å, degrees): 5.657 5.657 5.972 90.00 90.00 120.00
Fractional positions:
Zn (0.000, 0.000, 0.000)
Tc (0.333, 0.667, 0.705)
Tc (0.667, 0.333, 0.295)
O (0.135, 0.333, 0.799)
O (0.198, 0.865, 0.799)
O (0.333, 0.198, 0.201)
O (0.333, 0.667, 0.418)
O (0.667, 0.333, 0.582)
O (0.667, 0.802, 0.799)
O (0.802, 0.135, 0.201)
O (0.865, 0.667, 0.201)

No. 2
Calculated X-ray diffraction stick pattern
Compound: Zn2TeO
Radiation: copper Kα
Structure: a structure optimized by DFT (PBE)
Lines closer than 0.1° are merged.

Most intense lines, 2θ = 15–90°, low angle first:
- 29.1 deg, I = 22.6
- 30.4 deg, I = 23.1
- 30.7 deg, I = 47.7
- 31.0 deg, I = 100.0
- 33.5 deg, I = 16.7
- 34.7 deg, I = 38.4
- 39.8 deg, I = 23.8
- 42.8 deg, I = 22.3
- 44.2 deg, I = 48.2
- 48.8 deg, I = 24.7

Structural model:
Lattice parameters (Å, degrees): 7.056 7.056 5.827 90.00 90.00 149.31
Fractional positions:
Zn (0.058, 0.942, 0.500)
Zn (0.365, 0.635, 0.587)
Zn (0.635, 0.365, 0.087)
Zn (0.942, 0.058, 0.000)
Te (0.321, 0.679, 0.147)
Te (0.679, 0.321, 0.647)
O (0.070, 0.930, 0.157)
O (0.930, 0.070, 0.657)

No. 3
Calculated X-ray diffraction stick pattern
Compound: Zn3TeO6
Radiation: copper Kα
Structure: a structure optimized by DFT (PBE)
Lines closer than 0.1° are merged.

Most intense lines, 2θ = 15–90°, low angle first:
- 20.5 deg, I = 22.8
- 28.8 deg, I = 37.8
- 29.5 deg, I = 52.0
- 32.4 deg, I = 45.4
- 32.9 deg, I = 44.6
- 34.0 deg, I = 30.0
- 35.3 deg, I = 100.0
- 36.2 deg, I = 24.2
- 37.0 deg, I = 25.1
- 55.4 deg, I = 33.7

Structural model:
Lattice parameters (Å, degrees): 8.674 8.674 10.355 92.63 92.63 61.60
Fractional positions:
Zn (0.000, 0.278, 0.755)
Zn (0.000, 0.722, 0.245)
Zn (0.066, 0.342, 0.427)
Zn (0.106, 0.570, 0.943)
Zn (0.199, 0.801, 0.750)
Zn (0.278, 0.000, 0.255)
Zn (0.324, 0.628, 0.449)
Zn (0.342, 0.066, 0.927)
Zn (0.372, 0.676, 0.051)
Zn (0.430, 0.894, 0.557)
Zn (0.570, 0.106, 0.443)
Zn (0.628, 0.324, 0.949)
Zn (0.658, 0.934, 0.073)
Zn (0.676, 0.372, 0.551)
Zn (0.722, 0.000, 0.745)
Zn (0.801, 0.199, 0.250)
Zn (0.894, 0.430, 0.057)
Zn (0.934, 0.658, 0.573)
Te (0.000, 0.000, 0.000)
Te (0.000, 0.000, 0.500)
Te (0.334, 0.339, 0.697)
Te (0.339, 0.334, 0.197)
Te (0.661, 0.666, 0.803)
Te (0.666, 0.661, 0.303)
O (0.049, 0.096, 0.158)
O (0.091, 0.762, 0.562)
O (0.091, 0.768, 0.074)
O (0.096, 0.049, 0.658)
O (0.108, 0.412, 0.605)
O (0.119, 0.429, 0.099)
O (0.221, 0.267, 0.826)
O (0.232, 0.909, 0.426)
O (0.235, 0.550, 0.300)
O (0.238, 0.909, 0.938)
O (0.245, 0.558, 0.797)
O (0.267, 0.221, 0.326)
O (0.412, 0.108, 0.105)
O (0.423, 0.426, 0.068)
O (0.426, 0.423, 0.568)
O (0.429, 0.119, 0.599)
O (0.442, 0.755, 0.703)
O (0.450, 0.765, 0.200)
O (0.550, 0.235, 0.800)
O (0.558, 0.245, 0.297)
O (0.571, 0.881, 0.401)
O (0.574, 0.577, 0.432)
O (0.577, 0.574, 0.932)
O (0.588, 0.892, 0.895)
O (0.733, 0.779, 0.674)
O (0.755, 0.442, 0.203)
O (0.762, 0.091, 0.062)
O (0.765, 0.450, 0.700)
O (0.768, 0.091, 0.574)
O (0.779, 0.733, 0.174)
O (0.881, 0.571, 0.901)
O (0.892, 0.588, 0.395)
O (0.904, 0.951, 0.342)
O (0.909, 0.232, 0.926)
O (0.909, 0.238, 0.438)
O (0.951, 0.904, 0.842)